The following is a simulated powder X-ray diffraction pattern of LaPmPt. It was derived from a DFT-relaxed cell (GGA-PBE, Alexandria), using CuKα.
No peak broadening, texture or thermal motion is included.

Principal peaks in the range 2θ = 5–70°, low angle first:
2θ = 18.91°, 4.694 Å, rel. 35; 2θ = 28.73°, 3.108 Å, rel. 45; 2θ = 31.41°, 2.848 Å, rel. 84; 2θ = 33.86°, 2.648 Å, rel. 75; 2θ = 34.60°, 2.593 Å, rel. 100; 2θ = 38.36°, 2.347 Å, rel. 21; 2θ = 45.68°, 1.986 Å, rel. 20; 2θ = 46.20°, 1.965 Å, rel. 24; 2θ = 49.75°, 1.833 Å, rel. 26; 2θ = 60.99°, 1.519 Å, rel. 20

Crystal structure
Cell lengths 6.5038, 6.5038, 7.1838 Å; angles 90.00, 90.00, 144.83 degrees
Sites, in units of the cell vectors:
La: 0.2147 0.7853 0.7500
La: 0.7853 0.2147 0.2500
Pm: 0.5000 0.5000 0.0000
Pm: 0.5000 0.5000 0.5000
Pt: 0.1111 0.8889 0.2500
Pt: 0.8889 0.1111 0.7500